LaCdIr: simulated X-ray diffraction stick pattern (Cu Ka), based on a DFT-relaxed cell (PBE, Alexandria).
Peak positions follow from Bragg's law for the DFT cell and can differ from measured ones.

Crystal structure
```
data_LaCdIr
_chemical_formula_sum 'La4 Cd4 Ir4'
_cell_length_a 4.0497
_cell_length_b 17.7093
_cell_length_c 4.0981
_cell_angle_alpha 90.00
_cell_angle_beta 90.00
_cell_angle_gamma 90.00
_space_group_name_H-M_alt 'P 1'
_space_group_IT_number 1
_space_group_name_Hall 'P 1'
loop_
_atom_site_label
_atom_site_type_symbol
_atom_site_fract_x
_atom_site_fract_y
_atom_site_fract_z
La1 La 0.0000 0.0952 0.2500
La2 La 0.0000 0.9048 0.7500
La3 La 0.5000 0.4048 0.7500
La4 La 0.5000 0.5952 0.2500
Cd1 Cd 0.0000 0.2907 0.2500
Cd2 Cd 0.0000 0.7093 0.7500
Cd3 Cd 0.5000 0.2093 0.7500
Cd4 Cd 0.5000 0.7907 0.2500
Ir1 Ir 0.0000 0.4506 0.2500
Ir2 Ir 0.0000 0.5494 0.7500
Ir3 Ir 0.5000 0.0494 0.7500
Ir4 Ir 0.5000 0.9506 0.2500
```

Main lines, by angle (10 to 90 degrees two-theta):
2θ 31.47, 2.843 Å, I 100, (1 1 1)
2θ 33.62, 2.666 Å, I 43, (1 5 0)
2θ 34.65, 2.589 Å, I 52, (1 3 1)
2θ 37.55, 2.395 Å, I 64, (0 6 1)
2θ 40.36, 2.235 Å, I 50, (1 5 1)
2θ 59.81, 1.546 Å, I 33, (2 6 1)